Diffraction record for SrCa2RhO5. The powder XRD pattern is computed, not measured: it uses the GGA-PBE geometry in Alexandria and a wavelength of 1.5418 Å.

Peak list (10 most intense, 10 to 90 degrees two-theta, in order of rising 2θ)
- 15.59 deg, I 37
- 17.26 deg, I 13
- 31.06 deg, I 23
- 31.47 deg, I 16
- 32.39 deg, I 100
- 42.77 deg, I 16
- 44.81 deg, I 32
- 48.06 deg, I 22
- 56.11 deg, I 20
- 67.82 deg, I 16

Atomic structure:
Unit cell a=6.647 b=6.647 c=6.647 alpha=146.92 beta=128.67 gamma=62.44
Fractional positions:
Sr 0.000 0.000 0.000
Ca 0.287 0.787 0.500
Ca 0.713 0.213 0.500
Rh 0.500 0.500 0.000
O 0.123 0.367 0.756
O 0.389 0.633 0.756
O 0.500 0.000 0.500
O 0.611 0.367 0.244
O 0.877 0.633 0.244

Diffraction record for AcDyY3. The powder XRD pattern is computed, not measured: it uses the GGA-PBE geometry in Alexandria and a wavelength of 1.5418 Å.

Peak list (10 most intense, 10 to 90 degrees two-theta, in order of rising 2θ)
- 20.80 deg, I 33
- 27.65 deg, I 19
- 30.32 deg, I 100
- 30.76 deg, I 97
- 32.15 deg, I 42
- 36.49 deg, I 38
- 37.40 deg, I 23
- 49.42 deg, I 25
- 53.25 deg, I 16
- 56.71 deg, I 18

Atomic structure:
Unit cell a=9.536 b=9.536 c=8.643 alpha=111.50 beta=111.50 gamma=29.92
Fractional positions:
Ac 0.116 0.116 0.148
Ac 0.884 0.884 0.852
Dy 0.311 0.311 0.109
Dy 0.689 0.689 0.891
Y 0.057 0.057 0.699
Y 0.227 0.227 0.629
Y 0.415 0.415 0.554
Y 0.585 0.585 0.446
Y 0.773 0.773 0.371
Y 0.943 0.943 0.301

Diffraction record for Tb2Ge7Pd12. The powder XRD pattern is computed, not measured: it uses the GGA-PBE geometry in Alexandria and a wavelength of 1.5418 Å.

Peak list (10 most intense, 10 to 90 degrees two-theta, in order of rising 2θ)
- 35.33 deg, I 100
- 38.19 deg, I 9
- 43.44 deg, I 15
- 44.28 deg, I 10
- 46.69 deg, I 27
- 47.02 deg, I 22
- 59.87 deg, I 9
- 68.42 deg, I 18
- 79.18 deg, I 9
- 79.64 deg, I 9

Atomic structure:
Unit cell a=10.295 b=10.295 c=3.866 alpha=90.00 beta=90.00 gamma=120.00
Fractional positions:
Tb 0.333 0.667 0.245
Tb 0.667 0.333 0.755
Ge 0.000 0.000 0.500
Ge 0.120 0.710 0.749
Ge 0.290 0.410 0.749
Ge 0.410 0.120 0.251
Ge 0.590 0.880 0.749
Ge 0.710 0.590 0.251
Ge 0.880 0.290 0.251
Pd 0.063 0.443 0.751
Pd 0.112 0.259 0.247
Pd 0.147 0.888 0.247
Pd 0.259 0.147 0.753
Pd 0.380 0.937 0.751
Pd 0.443 0.380 0.249
Pd 0.557 0.620 0.751
Pd 0.620 0.063 0.249
Pd 0.741 0.853 0.247
Pd 0.853 0.112 0.753
Pd 0.888 0.741 0.753
Pd 0.937 0.557 0.249